Entry 1:
Calculated powder XRD pattern of ZrP2S7 for Cu Kα, 1.54184 Å, from a DFT-relaxed cell (GGA-PBE, the Materials Project).

Atomic structure:
Unit cell a=9.1419 b=15.1785 c=30.2618 alpha=90.00 beta=90.00 gamma=90.00
Space group Fddd (No. 70, origin choice 2)
Asymmetric unit:
Zr 0.1250 0.1250 0.0132 [16 per cell]
P 0.1224 0.3152 0.1827 [32 per cell]
S 0.0229 0.2818 0.4284 [32 per cell]
S 0.0701 0.0016 0.9479 [32 per cell]
S 0.1056 0.3421 0.7303 [32 per cell]
S 0.1250 0.3547 0.6250 [16 per cell]

Main lines, low angle first (10 to 90 degrees two-theta):
two_theta	d_spacing	I (rel.)	hkl
11.68	7.577	100	0 0 4
13.05	6.784	9	0 2 2
18.53	4.789	12	1 1 5
25.62	3.477	7	2 2 4
31.21	2.866	14	2 4 2
33.46	2.678	38	0 4 8
35.55	2.525	11	2 0 10
37.52	2.397	7	3 3 5
43.03	2.102	7	2 4 10
46.41	1.956	9	4 4 0



Entry 2:
Calculated powder XRD pattern of Zr2PS2 for Cu Kα, 1.54184 Å, from a DFT-relaxed cell (GGA-PBE, the Materials Project).

Atomic structure:
Unit cell a=2.8694 b=2.8694 c=14.5711 alpha=90.00 beta=90.00 gamma=90.00
Space group P4/mmm (No. 123)
Asymmetric unit:
Zr 0.0000 0.0000 0.1781 [2 per cell]
P 0.0000 0.0000 0.0000 [1 per cell]
S 0.0000 0.0000 0.3468 [2 per cell]

Main lines, low angle first (10 to 90 degrees two-theta):
two_theta	d_spacing	I (rel.)	hkl
12.15	7.286	68	0 0 2
30.68	2.914	18	0 0 5
31.17	2.869	100	1 0 0
33.57	2.670	23	1 0 2
37.02	2.429	25	0 0 6
44.30	2.045	26	1 0 5
44.66	2.029	35	1 1 0
49.15	1.854	43	1 0 6
59.35	1.557	24	1 1 6
85.61	1.135	17	2 1 6



Entry 3:
Calculated powder XRD pattern of Sb2P3Se9 for Cu Kα, 1.54184 Å, from a DFT-relaxed cell (GGA-PBE, the Materials Project).

Atomic structure:
Unit cell a=9.5324 b=7.7120 c=23.8751 alpha=90.00 beta=113.33 gamma=90.00
Space group P2_1/c (No. 14)
Asymmetric unit:
Sb 0.0590 0.0941 0.3466 [4 per cell]
Sb 0.3912 0.2171 0.6456 [4 per cell]
P 0.0784 0.0627 0.1455 [4 per cell]
P 0.2512 0.6535 0.6849 [4 per cell]
P 0.4231 0.5469 0.9521 [4 per cell]
Se 0.1300 0.1461 0.0655 [4 per cell]
Se 0.1484 0.0620 0.8791 [4 per cell]
Se 0.1484 0.2334 0.7148 [4 per cell]
Se 0.1645 0.6491 0.1097 [4 per cell]
Se 0.1933 0.5757 0.9558 [4 per cell]
Se 0.2269 0.7473 0.2662 [4 per cell]
Se 0.4241 0.1390 0.3839 [4 per cell]
Se 0.4784 0.1936 0.0542 [4 per cell]
Se 0.4798 0.5354 0.7017 [4 per cell]

Main lines, low angle first (10 to 90 degrees two-theta):
two_theta	d_spacing	I (rel.)	hkl
15.31	5.787	72	1 0 -4
16.17	5.481	58	0 0 4
26.18	3.404	58	1 2 1
27.00	3.302	56	0 1 6
27.78	3.211	71	1 2 2
28.61	3.120	62	1 1 5
30.68	2.914	84	3 0 -6
30.89	2.894	40	2 0 -8
32.26	2.775	88	2 2 1
32.85	2.727	100	3 1 0



Entry 4:
Calculated powder XRD pattern of Zr2SbP for Cu Kα, 1.54184 Å, from a DFT-relaxed cell (GGA-PBE, the Materials Project).

Atomic structure:
Unit cell a=3.8397 b=3.8397 c=13.4327 alpha=90.00 beta=90.00 gamma=120.00
Space group P6_3/mmc (No. 194)
Asymmetric unit:
Zr 0.3333 0.6667 0.1026 [4 per cell]
Sb 0.3333 0.6667 0.7500 [2 per cell]
P 0.0000 0.0000 0.0000 [2 per cell]

Main lines, low angle first (10 to 90 degrees two-theta):
two_theta	d_spacing	I (rel.)	hkl
26.81	3.325	21	1 0 0
29.99	2.980	9	1 0 2
33.57	2.670	100	1 0 3
40.28	2.239	8	0 0 6
43.30	2.090	10	1 0 5
47.35	1.920	32	1 1 0
49.05	1.857	13	1 0 6
59.29	1.559	19	2 0 3
63.87	1.457	12	1 1 6
79.15	1.210	16	2 1 3



Entry 5:
Calculated powder XRD pattern of Sc7P3 for Cu Kα, 1.54184 Å, from a DFT-relaxed cell (GGA-PBE, the Materials Project).

Atomic structure:
Unit cell a=8.9798 b=8.9798 c=5.7141 alpha=90.00 beta=90.00 gamma=120.00
Space group P6_3mc (No. 186)
Asymmetric unit:
Sc 0.0743 0.5371 0.0000 [6 per cell]
Sc 0.1226 0.2452 0.2696 [6 per cell]
Sc 0.3333 0.6667 0.4444 [2 per cell]
P 0.1915 0.3830 0.7043 [6 per cell]

Main lines, low angle first (10 to 90 degrees two-theta):
two_theta	d_spacing	I (rel.)	hkl
30.41	2.939	14	2 1 0
33.41	2.682	50	1 0 2
34.31	2.614	100	2 1 1
34.60	2.592	19	3 0 0
38.12	2.361	75	3 0 1
39.13	2.302	53	2 0 2
40.17	2.245	38	2 2 0
61.25	1.513	19	3 2 2
61.82	1.501	17	5 0 1
62.01	1.497	16	3 3 0



Entry 6:
Calculated powder XRD pattern of P4Se5 for Cu Kα, 1.54184 Å, from a DFT-relaxed cell (GGA-PBE, the Materials Project).

Atomic structure:
Unit cell a=13.5579 b=6.9396 c=11.8135 alpha=90.00 beta=90.00 gamma=90.00
Space group Pna2_1 (No. 33)
Asymmetric unit:
P 0.0619 0.0101 0.0000 [4 per cell]
P 0.0989 0.0997 0.1786 [4 per cell]
P 0.1103 0.7077 0.0485 [4 per cell]
P 0.1852 0.5400 0.5168 [4 per cell]
Se 0.0159 0.3143 0.2666 [4 per cell]
Se 0.0707 0.7865 0.2344 [4 per cell]
Se 0.1861 0.1346 0.9000 [4 per cell]
Se 0.2213 0.2192 0.5289 [4 per cell]
Se 0.2358 0.6710 0.6853 [4 per cell]

Main lines, low angle first (10 to 90 degrees two-theta):
two_theta	d_spacing	I (rel.)	hkl
15.05	5.887	76	2 0 1
16.19	5.474	96	1 1 1
19.94	4.453	100	2 0 2
25.67	3.470	46	0 2 0
26.02	3.425	76	0 1 3
26.52	3.361	69	1 2 0
27.37	3.258	92	4 0 1
29.21	3.057	94	2 1 3
30.29	2.951	75	0 0 4
32.72	2.737	45	2 2 2



Entry 7:
Calculated powder XRD pattern of P4Se3 for Cu Kα, 1.54184 Å, from a DFT-relaxed cell (GGA-PBE, the Materials Project).

Atomic structure:
Unit cell a=11.8915 b=10.6070 c=14.9503 alpha=90.00 beta=90.00 gamma=90.00
Space group Pnma (No. 62)
Asymmetric unit:
P 0.0280 0.2500 0.0375 [4 per cell]
P 0.0311 0.7500 0.4933 [4 per cell]
P 0.0724 0.6444 0.7572 [8 per cell]
P 0.0968 0.7500 0.2667 [4 per cell]
P 0.2110 0.7500 0.8270 [4 per cell]
P 0.2312 0.6441 0.3411 [8 per cell]
Se 0.0501 0.0866 0.1346 [8 per cell]
Se 0.0552 0.2500 0.6425 [4 per cell]
Se 0.1521 0.5863 0.4724 [8 per cell]
Se 0.1632 0.7500 0.9733 [4 per cell]

Main lines, low angle first (10 to 90 degrees two-theta):
two_theta	d_spacing	I (rel.)	hkl
16.31	5.435	100	1 1 2
17.10	5.186	21	2 1 0
25.44	3.502	23	3 0 2
25.65	3.473	25	1 2 3
26.98	3.305	41	1 3 1
28.76	3.104	30	3 2 1
29.46	3.032	34	2 1 4
30.01	2.978	26	2 3 1
41.43	2.179	20	3 4 1
49.69	1.835	24	5 3 3



Entry 8:
Calculated powder XRD pattern of PSe for Cu Kα, 1.54184 Å, from a DFT-relaxed cell (GGA-PBE, the Materials Project).

Atomic structure:
Unit cell a=12.3593 b=7.4394 c=12.7792 alpha=90.00 beta=115.99 gamma=90.00
Space group P2_1/c (No. 14)
Asymmetric unit:
P 0.1733 0.1884 0.2462 [4 per cell]
P 0.1825 0.6312 0.3006 [4 per cell]
P 0.2612 0.0095 0.1685 [4 per cell]
P 0.3237 0.6948 0.9282 [4 per cell]
Se 0.1214 0.7151 0.6273 [4 per cell]
Se 0.2023 0.0432 0.4164 [4 per cell]
Se 0.3159 0.0857 0.8006 [4 per cell]
Se 0.4237 0.5993 0.8252 [4 per cell]

Main lines, low angle first (10 to 90 degrees two-theta):
two_theta	d_spacing	I (rel.)	hkl
15.43	5.744	68	0 0 2
15.95	5.555	100	2 0 0
16.65	5.326	82	2 0 -2
20.28	4.379	40	1 0 2
23.58	3.774	43	1 1 2
24.81	3.589	76	2 1 -3
25.20	3.534	33	0 2 1
26.89	3.315	32	3 1 0
30.31	2.949	44	1 1 3
32.52	2.754	58	2 2 -3



- What is the formula in the fourth record?
  Zr2SbP